1.
For Mg14AlFe, the PBE geometry in the Materials Project gives the computed powder diffraction line list in this record (Cu Kα (λ = 1.5418 Å)).

Structural model:
Cell: 6.2620 6.2620 9.8548 Å, 90.00 90.00 120.00°
Atoms (fractional coordinates):
1 Mg 0.0000 0.0000 0.2478
2 Mg 0.0000 0.0000 0.7522
3 Mg 0.0181 0.5091 0.2602
4 Mg 0.0181 0.5091 0.7398
5 Mg 0.3314 0.1657 0.5000
6 Mg 0.3348 0.1674 0.0000
7 Mg 0.4909 0.5091 0.2602
8 Mg 0.4909 0.5091 0.7398
9 Mg 0.4909 0.9819 0.2602
10 Mg 0.4909 0.9819 0.7398
11 Mg 0.8326 0.1674 0.0000
12 Mg 0.8326 0.6652 0.0000
13 Mg 0.8343 0.1657 0.5000
14 Mg 0.8343 0.6686 0.5000
15 Al 0.3333 0.6667 0.0000
16 Fe 0.3333 0.6667 0.5000

Main lines, low angle first (5 to 70 degrees two-theta):
| d_spacing | I/Imax |
| --- | --- |
| 9.855 | 5.8 |
| 5.423 | 6.1 |
| 4.751 | 5.0 |
| 2.712 | 25.1 |
| 2.464 | 24.5 |
| 2.376 | 100.0 |
| 1.823 | 14.6 |
| 1.565 | 16.9 |
| 1.405 | 16.7 |
| 1.356 | 2.6 |

2.
For Mg14AlFe, the PBE geometry in the Materials Project gives the computed powder diffraction line list in this record (Cu Kα (λ = 1.5418 Å)).

Structural model:
Cell: 10.0575 6.2131 6.2131 Å, 59.78 90.00 90.00°
Atoms (fractional coordinates):
1 Mg 0.0000 0.0000 0.0000
2 Mg 0.0000 0.0032 0.4998
3 Mg 0.0000 0.4984 0.4984
4 Mg 0.0000 0.4998 0.0032
5 Mg 0.2485 0.6658 0.6658
6 Mg 0.2609 0.1613 0.1613
7 Mg 0.2696 0.1643 0.6774
8 Mg 0.2696 0.6774 0.1643
9 Mg 0.5000 0.4980 0.9944
10 Mg 0.5000 0.9944 0.4980
11 Mg 0.7304 0.1643 0.6774
12 Mg 0.7304 0.6774 0.1643
13 Mg 0.7391 0.1613 0.1613
14 Mg 0.7515 0.6658 0.6658
15 Al 0.5000 0.5047 0.5047
16 Fe 0.5000 0.0013 0.0013

Main lines, low angle first (5 to 70 degrees two-theta):
| d_spacing | I/Imax |
| --- | --- |
| 10.057 | 10.1 |
| 4.741 | 5.7 |
| 2.693 | 8.4 |
| 2.685 | 16.4 |
| 2.514 | 25.3 |
| 2.370 | 100.0 |
| 1.836 | 14.7 |
| 1.553 | 11.2 |
| 1.548 | 5.6 |
| 1.422 | 16.3 |

3.
For PrMgAl7Fe2, the PBE geometry in the Materials Project gives the computed powder diffraction line list in this record (Cu Kα (λ = 1.5418 Å)).

Structural model:
Cell: 12.9708 14.5074 4.0123 Å, 90.00 90.00 90.00°
Atoms (fractional coordinates):
1 Pr 0.1604 0.1807 0.0000
2 Pr 0.3396 0.6807 0.0000
3 Pr 0.6604 0.3193 0.0000
4 Pr 0.8396 0.8193 0.0000
5 Mg 0.1680 0.4522 0.0000
6 Mg 0.3320 0.9522 0.0000
7 Mg 0.6680 0.0478 0.0000
8 Mg 0.8320 0.5478 0.0000
9 Al 0.0000 0.0000 0.0000
10 Al 0.0000 0.5000 0.5000
11 Al 0.0248 0.8666 0.5000
12 Al 0.0482 0.3218 0.5000
13 Al 0.0935 0.7450 0.0000
14 Al 0.1572 0.6203 0.5000
15 Al 0.1652 0.0056 0.5000
16 Al 0.2290 0.8264 0.5000
17 Al 0.2710 0.3264 0.5000
18 Al 0.3348 0.5056 0.5000
19 Al 0.3428 0.1203 0.5000
20 Al 0.4065 0.2450 0.0000
21 Al 0.4518 0.8218 0.5000
22 Al 0.4752 0.3666 0.5000
23 Al 0.5000 0.0000 0.5000
24 Al 0.5000 0.5000 0.0000
25 Al 0.5248 0.6334 0.5000
26 Al 0.5482 0.1782 0.5000
27 Al 0.5935 0.7550 0.0000
28 Al 0.6572 0.8797 0.5000
29 Al 0.6652 0.4944 0.5000
30 Al 0.7290 0.6736 0.5000
31 Al 0.7710 0.1736 0.5000
32 Al 0.8348 0.9944 0.5000
33 Al 0.8428 0.3797 0.5000
34 Al 0.9065 0.2550 0.0000
35 Al 0.9518 0.6782 0.5000
36 Al 0.9752 0.1334 0.5000
37 Fe 0.0339 0.5915 0.0000
38 Fe 0.1394 0.8992 0.0000
39 Fe 0.3606 0.3992 0.0000
40 Fe 0.4661 0.0915 0.0000
41 Fe 0.5339 0.9085 0.0000
42 Fe 0.6394 0.6008 0.0000
43 Fe 0.8606 0.1008 0.0000
44 Fe 0.9661 0.4085 0.0000

Main lines, low angle first (5 to 70 degrees two-theta):
| d_spacing | I/Imax |
| --- | --- |
| 4.143 | 47.0 |
| 4.012 | 46.2 |
| 3.493 | 29.0 |
| 3.223 | 32.7 |
| 2.634 | 77.9 |
| 2.513 | 100.0 |
| 2.485 | 51.0 |
| 2.110 | 37.1 |
| 2.006 | 49.8 |
| 1.974 | 41.6 |

4.
For Mg3Al8FeSi6, the PBE geometry in the Materials Project gives the computed powder diffraction line list in this record (Cu Kα (λ = 1.5418 Å)).

Structural model:
Cell: 6.7332 6.7332 7.6874 Å, 90.00 90.00 120.00°
Atoms (fractional coordinates):
1 Mg 0.0000 0.4298 0.0000
2 Mg 0.4298 0.0000 0.0000
3 Mg 0.5702 0.5702 0.0000
4 Al 0.0000 0.0000 0.0000
5 Al 0.0000 0.3578 0.5000
6 Al 0.3333 0.6667 0.2856
7 Al 0.3333 0.6667 0.7144
8 Al 0.3578 0.0000 0.5000
9 Al 0.6422 0.6422 0.5000
10 Al 0.6667 0.3333 0.2856
11 Al 0.6667 0.3333 0.7144
12 Fe 0.0000 0.0000 0.5000
13 Si 0.0000 0.7582 0.2669
14 Si 0.0000 0.7582 0.7331
15 Si 0.2418 0.2418 0.2669
16 Si 0.2418 0.2418 0.7331
17 Si 0.7582 0.0000 0.2669
18 Si 0.7582 0.0000 0.7331

Main lines, low angle first (5 to 70 degrees two-theta):
| d_spacing | I/Imax |
| --- | --- |
| 7.687 | 33.0 |
| 5.831 | 38.7 |
| 2.533 | 88.7 |
| 2.323 | 100.0 |
| 2.204 | 37.5 |
| 1.944 | 42.6 |
| 1.922 | 30.1 |
| 1.912 | 59.0 |
| 1.448 | 16.0 |
| 1.367 | 22.1 |

5.
For MnAlFe2, the PBE geometry in the Materials Project gives the computed powder diffraction line list in this record (Cu Kα (λ = 1.5418 Å)).

Structural model:
Cell: 4.1126 4.1126 4.1126 Å, 60.00 60.00 60.00°
Atoms (fractional coordinates):
1 Mn 0.0000 0.0000 0.0000
2 Al 0.7500 0.7500 0.7500
3 Fe 0.2500 0.2500 0.2500
4 Fe 0.5000 0.5000 0.5000

Main lines, low angle first (5 to 70 degrees two-theta):
| d_spacing | I/Imax |
| --- | --- |
| 3.358 | 7.0 |
| 2.908 | 3.0 |
| 2.056 | 100.0 |
| 1.754 | 2.9 |
| 1.679 | 0.6 |
| 1.454 | 14.9 |

6.
For Sm2Mn2Al2Fe13, the PBE geometry in the Materials Project gives the computed powder diffraction line list in this record (Cu Kα (λ = 1.5418 Å)).

Structural model:
Cell: 6.4377 6.4377 6.4213 Å, 97.82 97.82 82.27°
Atoms (fractional coordinates):
1 Sm 0.1508 0.1508 0.3511
2 Sm 0.8492 0.8492 0.6489
3 Mn 0.0000 0.5000 0.0000
4 Mn 0.5000 0.0000 0.0000
5 Al 0.4000 0.4000 0.1051
6 Al 0.6000 0.6000 0.8949
7 Fe 0.1595 0.1595 0.8474
8 Fe 0.1605 0.6562 0.3406
9 Fe 0.2078 0.7922 0.0000
10 Fe 0.2092 0.5014 0.7122
11 Fe 0.3438 0.8395 0.6594
12 Fe 0.4986 0.7908 0.2878
13 Fe 0.5000 0.5000 0.5000
14 Fe 0.5014 0.2092 0.7122
15 Fe 0.6562 0.1605 0.3406
16 Fe 0.7908 0.4986 0.2878
17 Fe 0.7922 0.2078 0.0000
18 Fe 0.8395 0.3438 0.6594
19 Fe 0.8405 0.8405 0.1526

Main lines, low angle first (5 to 70 degrees two-theta):
| d_spacing | I/Imax |
| --- | --- |
| 3.516 | 18.7 |
| 2.975 | 47.2 |
| 2.703 | 18.8 |
| 2.442 | 37.4 |
| 2.384 | 32.4 |
| 2.114 | 62.2 |
| 2.110 | 100.0 |
| 2.105 | 18.9 |
| 2.093 | 41.9 |
| 1.889 | 15.8 |

7.
For AlFeN2, the PBE geometry in the Materials Project gives the computed powder diffraction line list in this record (Cu Kα (λ = 1.5418 Å)).

Structural model:
Cell: 5.3462 6.2380 4.9506 Å, 90.00 90.00 90.00°
Atoms (fractional coordinates):
1 Al 0.0884 0.1234 0.0000
2 Al 0.4116 0.6234 0.5000
3 Al 0.5884 0.3766 0.0000
4 Al 0.9116 0.8766 0.5000
5 Fe 0.0741 0.6259 0.9967
6 Fe 0.4259 0.1259 0.4967
7 Fe 0.5741 0.8741 0.9967
8 Fe 0.9259 0.3741 0.4967
9 N 0.0801 0.6295 0.3740
10 N 0.0899 0.1240 0.3876
11 N 0.4101 0.6240 0.8876
12 N 0.4199 0.1295 0.8740
13 N 0.5801 0.8705 0.3740
14 N 0.5899 0.3760 0.3876
15 N 0.9101 0.8760 0.8876
16 N 0.9199 0.3705 0.8740

Main lines, low angle first (5 to 70 degrees two-theta):
| d_spacing | I/Imax |
| --- | --- |
| 4.059 | 24.6 |
| 3.878 | 28.2 |
| 2.694 | 59.4 |
| 2.673 | 35.4 |
| 2.475 | 66.4 |
| 2.366 | 100.0 |
| 2.352 | 42.5 |
| 1.823 | 22.3 |
| 1.547 | 37.6 |
| 1.407 | 36.3 |

8.
For AlFeN2, the PBE geometry in the Materials Project gives the computed powder diffraction line list in this record (Cu Kα (λ = 1.5418 Å)).

Structural model:
Cell: 5.2701 5.2701 5.2701 Å, 130.85 130.85 72.05°
Atoms (fractional coordinates):
1 Al 0.0000 0.0000 0.0000
2 Al 0.7500 0.2500 0.5000
3 Fe 0.2500 0.7500 0.5000
4 Fe 0.5000 0.5000 0.0000
5 N 0.1295 0.6250 0.0045
6 N 0.3750 0.3795 0.5045
7 N 0.6205 0.1250 0.9955
8 N 0.8750 0.8705 0.4955

Main lines, low angle first (5 to 70 degrees two-theta):
| d_spacing | I/Imax |
| --- | --- |
| 3.898 | 21.2 |
| 2.507 | 100.0 |
| 2.384 | 5.3 |
| 2.192 | 14.9 |
| 2.131 | 6.9 |
| 1.911 | 5.1 |
| 1.614 | 2.9 |
| 1.589 | 1.3 |
| 1.550 | 14.8 |
| 1.528 | 28.1 |